This entry pairs a crystal structure of Te2MoPtF with its calculated PXRD pattern. Radiation: Cu Kα. Structure: a DFT-relaxed cell (GGA+U, Alexandria).
Lines closer than 0.1° are merged.

Structural model:
Cell: 5.228 5.228 4.095 Å, 90.00 90.00 90.00°
Space group P4/mmm (No. 123)
Asymmetric unit:
1 Te 0.000 0.500 0.000 [2 per cell]
2 Mo 0.000 0.000 0.500 [1 per cell]
3 Pt 0.500 0.500 0.500 [1 per cell]
4 F 0.000 0.000 0.000 [1 per cell]

Most intense lines, 15 to 90 degrees two-theta, sorted by position:
| 2θ (°) | d/Å | intensity |
| --- | --- | --- |
| 32.6 | 2.744 | 100 |
| 34.3 | 2.614 | 51 |
| 44.2 | 2.048 | 12 |
| 49.3 | 1.848 | 18 |
| 57.1 | 1.612 | 23 |
| 60.4 | 1.533 | 34 |
| 68.4 | 1.372 | 13 |
| 74.0 | 1.281 | 9 |
| 81.6 | 1.180 | 8 |
| 82.5 | 1.169 | 8 |